# 1
Computed X-ray diffraction stick pattern of Dy2Sn5 for Cu Kα, from a DFT-relaxed cell (PBE, the Materials Project).
Lines closer than 0.1° are merged.

Atomic structure:
Cell lengths 4.3767, 4.4598, 19.1661 Å; angles 90.00, 90.00, 90.00 degrees
Space group Pmmn (No. 59, origin choice 2)
Asymmetric unit:
Dy 0.2500 0.2500 0.1292 [2 per cell]
Dy 0.2500 0.7500 0.6989 [2 per cell]
Sn 0.2500 0.2500 0.4246 [2 per cell]
Sn 0.2500 0.2500 0.5767 [2 per cell]
Sn 0.2500 0.2500 0.8435 [2 per cell]
Sn 0.2500 0.7500 0.0016 [2 per cell]
Sn 0.2500 0.7500 0.2648 [2 per cell]

Largest 10 diffraction maxima, in order of rising 2θ, 2θ from 15° to 90°:
2θ/deg, Rel. int., index
30.09, 16, 1 1 2
31.89, 100, 1 1 3
32.71, 46, 0 0 7
34.27, 97, 1 1 4
40.44, 41, 0 2 0
41.25, 34, 2 0 0
52.96, 24, 0 2 7
53.61, 23, 2 0 7
59.15, 24, 2 2 0
69.29, 33, 2 2 7

# 2
Computed X-ray diffraction stick pattern of Hf3AlAu2 for Cu Kα, from a DFT-relaxed cell (PBE, the Materials Project).
Lines closer than 0.1° are merged.

Atomic structure:
Cell lengths 12.3092, 12.3092, 12.3092 Å; angles 90.00, 90.00, 90.00 degrees
Space group Fd-3m (No. 227, origin choice 2)
Asymmetric unit:
Hf 0.0699 0.3750 0.3750 [48 per cell]
Al 0.0000 0.0000 0.5000 [16 per cell]
Au 0.0363 0.0363 0.7137 [32 per cell]

Largest 10 diffraction maxima, in order of rising 2θ, 2θ from 15° to 90°:
2θ/deg, Rel. int., index
25.06, 21, 2 2 2
35.74, 31, 4 2 2
37.98, 100, 3 3 3
41.50, 22, 4 4 0
44.14, 11, 4 4 2
57.51, 15, 7 3 1
64.20, 34, 6 6 0
65.69, 9, 5 5 5
70.06, 8, 8 4 2
77.09, 17, 9 3 3

Please write out number 1 again, unchanged.
Computed X-ray diffraction stick pattern of Dy2Sn5 for Cu Kα, from a DFT-relaxed cell (PBE, the Materials Project).
Lines closer than 0.1° are merged.

Atomic structure:
Cell lengths 4.3767, 4.4598, 19.1661 Å; angles 90.00, 90.00, 90.00 degrees
Space group Pmmn (No. 59, origin choice 2)
Asymmetric unit:
Dy 0.2500 0.2500 0.1292 [2 per cell]
Dy 0.2500 0.7500 0.6989 [2 per cell]
Sn 0.2500 0.2500 0.4246 [2 per cell]
Sn 0.2500 0.2500 0.5767 [2 per cell]
Sn 0.2500 0.2500 0.8435 [2 per cell]
Sn 0.2500 0.7500 0.0016 [2 per cell]
Sn 0.2500 0.7500 0.2648 [2 per cell]

Largest 10 diffraction maxima, in order of rising 2θ, 2θ from 15° to 90°:
2θ/deg, Rel. int., index
30.09, 16, 1 1 2
31.89, 100, 1 1 3
32.71, 46, 0 0 7
34.27, 97, 1 1 4
40.44, 41, 0 2 0
41.25, 34, 2 0 0
52.96, 24, 0 2 7
53.61, 23, 2 0 7
59.15, 24, 2 2 0
69.29, 33, 2 2 7